Entry 1:
Calculated powder diffractogram
Compound: Ce5Os2Au2
Radiation: Cu Ka
Structure: a DFT-relaxed cell (PBE, Alexandria)

Structural model:
Lattice parameters (Å, degrees): 15.245 7.655 7.635 90.00 90.00 90.00
Space group Cmce (No. 64)
Unique sites:
Ce (0.000, 0.000, 0.000) x4
Ce (0.125, 0.173, 0.330) x16
Os (0.000, 0.135, 0.635) x8
Au (0.214, 0.000, 0.000) x8

Peak list (10 most intense, 10° ≤ 2θ ≤ 80°, low angle first)
d 3.417, rel. 21, (2 2 0); d 2.835, rel. 55, (3 1 2); d 2.700, rel. 100, (0 2 2); d 2.656, rel. 26, (5 1 1); d 2.546, rel. 69, (4 2 1); d 2.388, rel. 80, (1 3 1); d 2.275, rel. 30, (5 1 2); d 1.894, rel. 28, (5 1 3); d 1.709, rel. 20, (0 2 4); d 1.388, rel. 46, (7 3 3)



Entry 2:
Calculated powder diffractogram
Compound: Sr2HoCd6
Radiation: Cu Ka
Structure: a DFT-relaxed cell (PBE, Alexandria)

Structural model:
Lattice parameters (Å, degrees): 8.8416 8.8416 3.6347 90.00 90.00 120.00
Space group P6/mmm (No. 191)
Unique sites:
Sr (0.3333, 0.6667, 0.0000) x2
Ho (0.0000, 0.0000, 0.0000) x1
Cd (0.0000, 0.3280, 0.5000) x6

Peak list (10 most intense, 10° ≤ 2θ ≤ 80°, low angle first)
d 3.635, rel. 9, (0 0 1); d 2.808, rel. 100, (1 1 1); d 2.552, rel. 86, (3 0 0); d 2.089, rel. 11, (3 0 1); d 1.889, rel. 31, (2 2 1); d 1.817, rel. 10, (0 0 2); d 1.518, rel. 30, (4 1 1); d 1.480, rel. 31, (3 0 2); d 1.474, rel. 15, (3 3 0); d 1.276, rel. 9, (6 0 0)



Entry 3:
Calculated powder diffractogram
Compound: Dy4Tm5In2
Radiation: Cu Ka
Structure: a DFT-relaxed cell (PBE, Alexandria)

Structural model:
Lattice parameters (Å, degrees): 24.375 3.435 7.988 90.00 91.04 90.00
Space group C2/m (No. 12)
Unique sites:
Dy (0.045, 0.000, 0.163) x4
Dy (0.089, 0.000, 0.762) x4
Tm (0.000, 0.500, 0.500) x2
Tm (0.166, 0.000, 0.406) x4
Tm (0.225, 0.000, 0.806) x4
In (0.154, 0.500, 0.067) x4

Peak list (10 most intense, 10° ≤ 2θ ≤ 80°, low angle first)
d 3.401, rel. 25, (1 1 0); d 2.948, rel. 50, (3 1 -1); d 2.874, rel. 29, (6 0 -2); d 2.864, rel. 32, (8 0 -1); d 2.827, rel. 65, (8 0 1); d 2.592, rel. 100, (1 1 -2); d 2.445, rel. 37, (7 1 0); d 2.330, rel. 42, (7 1 1); d 2.062, rel. 23, (9 1 -1); d 1.468, rel. 22, (8 2 1)



Entry 4:
Calculated powder diffractogram
Compound: Zr2BiSb
Radiation: Cu Ka
Structure: a DFT-relaxed cell (PBE, Alexandria)

Structural model:
Lattice parameters (Å, degrees): 8.457 7.305 6.889 90.00 90.01 90.00
Space group P2_1/c (No. 14)
Unique sites:
Zr (0.113, 0.244, 0.499) x4
Zr (0.359, 0.744, 0.000) x4
Bi (0.377, 0.090, 0.245) x4
Sb (0.124, 0.577, 0.255) x4

Peak list (10 most intense, 10° ≤ 2θ ≤ 80°, low angle first)
d 3.230, rel. 100, (0 2 1); d 2.507, rel. 77, (2 1 2); d 2.111, rel. 49, (2 3 0); d 1.945, rel. 16, (2 1 3); d 1.768, rel. 12, (4 2 -1); d 1.616, rel. 12, (4 2 2); d 1.431, rel. 9, (4 2 3); d 1.354, rel. 10, (2 5 -1); d 1.334, rel. 18, (2 3 4); d 1.282, rel. 11, (4 4 2)



Entry 5:
Calculated powder diffractogram
Compound: Sr2NdCu3Pb2O8
Radiation: Cu Ka
Structure: a DFT-relaxed cell (PBE, Alexandria)

Structural model:
Lattice parameters (Å, degrees): 3.900 3.862 16.020 90.00 90.84 90.00
Space group P2/m (No. 10)
Unique sites:
Sr (0.013, 0.000, 0.223) x2
Nd (0.000, 0.000, 0.000) x1
Cu (0.000, 0.000, 0.500) x1
Cu (0.494, 0.500, 0.891) x2
Pb (0.495, 0.500, 0.389) x2
O (0.005, 0.500, 0.098) x2
O (0.093, 0.000, 0.386) x2
O (0.481, 0.500, 0.747) x2
O (0.495, 0.000, 0.904) x2

Peak list (10 most intense, 10° ≤ 2θ ≤ 80°, low angle first)
d 3.754, rel. 18, (0 1 1); d 2.814, rel. 32, (1 0 -4); d 2.778, rel. 100, (1 0 4); d 2.744, rel. 86, (1 1 0); d 2.095, rel. 14, (1 1 -5); d 1.950, rel. 20, (2 0 0); d 1.931, rel. 20, (0 2 0); d 1.603, rel. 17, (2 1 -4); d 1.589, rel. 14, (2 1 4); d 1.585, rel. 14, (1 2 4)



Entry 6:
Calculated powder diffractogram
Compound: Pm7Tm12Th
Radiation: Cu Ka
Structure: a DFT-relaxed cell (PBE, Alexandria)

Structural model:
Lattice parameters (Å, degrees): 12.1844 12.1844 15.3351 90.00 90.00 120.00
Space group R-3 (No. 148, hexagonal axes)
Unique sites:
Pm (0.0000, 0.0000, 0.0000) x3
Pm (0.0342, 0.1851, 0.3046) x18
Tm (0.0119, 0.4458, 0.2014) x18
Tm (0.0587, 0.5872, 0.5889) x18
Th (0.0000, 0.0000, 0.5000) x3

Peak list (10 most intense, 10° ≤ 2θ ≤ 80°, low angle first)
d 2.945, rel. 31, (0 1 5); d 2.898, rel. 24, (0 3 3); d 2.875, rel. 100, (4 -3 1); d 2.764, rel. 62, (3 -1 4); d 2.734, rel. 50, (3 1 2); d 2.652, rel. 31, (2 0 5); d 2.617, rel. 16, (4 -2 3); d 1.728, rel. 14, (3 -2 8); d 1.711, rel. 19, (1 4 6); d 1.690, rel. 23, (2 5 0)



Q: Number 3 is which compound?
A: Dy4Tm5In2